Entry 1:
Computed powder X-ray diffraction pattern of CsFe2Te2 for Cu Kα, 1.54184 Å, from a DFT-relaxed cell (GGA-PBE, Alexandria).
Lines closer than 0.1° are merged.

Structure:
```
data_CsFe2Te2
_chemical_formula_sum 'Cs2 Fe4 Te4'
_cell_length_a 4.074
_cell_length_b 4.074
_cell_length_c 15.757
_cell_angle_alpha 90.00
_cell_angle_beta 90.00
_cell_angle_gamma 90.00
_space_group_name_H-M_alt 'I 4/m m m'
_space_group_IT_number 139
_space_group_name_Hall '-I 4 2'
loop_
_atom_site_label
_atom_site_fract_x
_atom_site_fract_y
_atom_site_fract_z
Cs1 0.000 0.000 0.000
Fe1 0.000 0.500 0.250
Te1 0.000 0.000 0.341
```

Principal peaks in the range 2θ from 5° to 70°, sorted by position:
(0 0 2), 2θ = 11.23°, 7.879 Å, I 13
(1 0 3), 2θ = 27.71°, 3.219 Å, I 100
(1 1 0), 2θ = 31.04°, 2.881 Å, I 18
(1 1 2), 2θ = 33.11°, 2.706 Å, I 9
(0 0 6), 2θ = 34.14°, 2.626 Å, I 6
(1 1 4), 2θ = 38.72°, 2.325 Å, I 6
(2 0 0), 2θ = 44.48°, 2.037 Å, I 24
(0 0 8), 2θ = 46.06°, 1.971 Å, I 4
(1 1 6), 2θ = 46.81°, 1.941 Å, I 39
(2 1 3), 2θ = 53.21°, 1.721 Å, I 32
(1 0 9), 2θ = 57.26°, 1.609 Å, I 18
(2 2 0), 2θ = 64.72°, 1.440 Å, I 8

---

Entry 2:
Computed powder X-ray diffraction pattern of CsFeW2 for Cu Kα, 1.54184 Å, from a DFT-relaxed cell (GGA-PBE, Alexandria).
Lines closer than 0.1° are merged.

Structure:
```
data_CsFeW2
_chemical_formula_sum 'Cs4 Fe4 W8'
_cell_length_a 6.523
_cell_length_b 6.523
_cell_length_c 6.523
_cell_angle_alpha 90.00
_cell_angle_beta 90.00
_cell_angle_gamma 90.00
_space_group_name_H-M_alt 'F m -3 m'
_space_group_IT_number 225
_space_group_name_Hall '-F 4 2 3'
loop_
_atom_site_label
_atom_site_fract_x
_atom_site_fract_y
_atom_site_fract_z
Cs1 0.000 0.000 0.000
Fe1 0.000 0.000 0.500
W1 0.250 0.250 0.250
```

Principal peaks in the range 2θ from 5° to 70°, sorted by position:
(1 1 1), 2θ = 23.62°, 3.766 Å, I 4
(2 0 0), 2θ = 27.34°, 3.262 Å, I 12
(2 2 0), 2θ = 39.06°, 2.306 Å, I 100
(3 1 1), 2θ = 46.15°, 1.967 Å, I 2
(2 2 2), 2θ = 48.33°, 1.883 Å, I 4
(4 0 0), 2θ = 56.42°, 1.631 Å, I 17
(3 3 1), 2θ = 62.01°, 1.497 Å, I 1
(4 2 0), 2θ = 63.81°, 1.459 Å, I 5

---

Which formula does entry 2 have?
CsFeW2